No. 1
# LiCu3Pt2
Theoretical powder X-ray diffraction pattern, Cu Kα, 1.54184 Å. Input: a DFT-relaxed cell (GGA-PBE, Alexandria).
Neutral-atom scattering factors, no anomalous dispersion.

The 12 most intense peaks (2θ from 10° to 80°), in order of rising 2θ:
2θ/deg	I/Imax	h k l
15.58	20	0 2 0
24.19	9	0 0 1
24.63	23	1 1 0
34.80	19	1 1 1
40.08	9	0 4 1
41.61	100	1 3 1
47.72	17	2 0 0
47.99	16	0 6 0
49.56	15	0 0 2
70.00	10	2 6 0
71.25	10	2 0 2
71.46	9	0 6 2

a = 3.811 Å, b = 11.374 Å, c = 3.679 Å
α = 90.00°, β = 90.00°, γ = 90.00°
Space group Cmmm (No. 65)
Symmetry-distinct sites (fractional):
Li  0.000  0.000  0.000 x2
Cu  0.000  0.167  0.500 x4
Cu  0.000  0.500  0.500 x2
Pt  0.000  0.340  0.000 x4

---

No. 2
# LiCuPt
Theoretical powder X-ray diffraction pattern, Cu Kα, 1.54184 Å. Input: a DFT-relaxed cell (GGA-PBE, Alexandria).
Neutral-atom scattering factors, no anomalous dispersion.

The 12 most intense peaks (2θ from 10° to 80°), in order of rising 2θ:
2θ/deg	I/Imax	h k l
20.78	100	0 0 1
23.23	20	2 0 -1
25.96	22	1 1 -1
38.09	26	0 2 0
38.61	54	3 1 -1
42.28	33	0 0 2
43.78	54	0 2 1
44.11	50	3 1 0
44.38	49	3 1 -2
58.36	16	3 1 1
69.17	16	3 3 -1
78.38	19	0 2 3

a = 8.044 Å, b = 4.725 Å, c = 5.029 Å
α = 90.00°, β = 121.77°, γ = 90.00°
Space group C2 (No. 5)
Symmetry-distinct sites (fractional):
Li  0.164  0.000  0.498 x4
Cu  0.000  0.496  0.500 x2
Cu  0.000  0.670  0.000 x2
Pt  0.170  0.175  0.005 x4

---

No. 3
# Li12Cu6Pt
Theoretical powder X-ray diffraction pattern, Cu Kα, 1.54184 Å. Input: a DFT-relaxed cell (GGA-PBE, Alexandria).
Neutral-atom scattering factors, no anomalous dispersion.

The 12 most intense peaks (2θ from 10° to 80°), in order of rising 2θ:
2θ/deg	I/Imax	h k l
13.40	100	1 0 1
18.93	59	0 1 2
23.15	35	0 0 3
30.34	14	3 -1 1
33.30	19	3 0 0
40.72	11	0 1 5
40.99	13	0 3 3
41.13	35	1 3 1
43.22	10	3 -1 4
43.41	28	4 -1 2
45.58	11	2 2 3
78.13	11	5 2 3

a = 9.3080 Å, b = 9.3080 Å, c = 11.5239 Å
α = 90.00°, β = 90.00°, γ = 120.00°
Space group R-3 (No. 148, hexagonal axes)
Symmetry-distinct sites (fractional):
Li  0.0341  0.1896  0.3151 x18
Li  0.0591  0.8385  0.9136 x18
Cu  0.0315  0.4410  0.1987 x18
Pt  0.0000  0.0000  0.5000 x3

---

No. 4
# LiCu4Pt
Theoretical powder X-ray diffraction pattern, Cu Kα, 1.54184 Å. Input: a DFT-relaxed cell (GGA-PBE, Alexandria).
Neutral-atom scattering factors, no anomalous dispersion.

The 12 most intense peaks (2θ from 10° to 80°), in order of rising 2θ:
2θ/deg	I/Imax	h k l
24.02	17	0 0 1
25.53	30	1 1 0
29.01	21	0 2 1
34.44	14	1 3 0
40.71	9	0 4 1
42.43	100	1 3 1
49.18	16	0 0 2
49.43	16	0 6 0
49.58	16	2 0 0
72.30	10	0 6 2
72.42	10	2 0 2
72.62	9	2 6 0

a = 3.677 Å, b = 11.063 Å, c = 3.705 Å
α = 90.00°, β = 90.00°, γ = 90.00°
Space group Cmmm (No. 65)
Symmetry-distinct sites (fractional):
Li  0.000  0.000  0.000 x2
Cu  0.000  0.171  0.500 x4
Cu  0.000  0.330  0.000 x4
Pt  0.000  0.500  0.500 x2

---

No. 5
# Li2CuPt
Theoretical powder X-ray diffraction pattern, Cu Kα, 1.54184 Å. Input: a DFT-relaxed cell (GGA-PBE, Alexandria).
Neutral-atom scattering factors, no anomalous dispersion.

The 12 most intense peaks (2θ from 10° to 80°), in order of rising 2θ:
2θ/deg	I/Imax	h k l
20.75	30	2 0 0
22.49	100	0 0 1
22.67	31	2 0 -1
33.29	47	1 1 0
37.66	51	4 0 -1
42.22	24	4 0 0
43.29	36	1 1 1
43.49	37	3 1 -1
45.08	23	3 1 0
45.92	15	0 0 2
46.30	13	4 0 -2
53.65	20	3 1 -2

a = 9.604 Å, b = 2.835 Å, c = 4.434 Å
α = 90.00°, β = 116.94°, γ = 90.00°
Space group Cm (No. 8)
Symmetry-distinct sites (fractional):
Li  0.000  0.000  0.000 x2
Li  0.238  0.000  0.877 x2
Cu  0.494  0.000  0.480 x2
Pt  0.250  0.500  0.395 x2

---

No. 6
# LiCuPt2
Theoretical powder X-ray diffraction pattern, Cu Kα, 1.54184 Å. Input: a DFT-relaxed cell (GGA-PBE, Alexandria).
Neutral-atom scattering factors, no anomalous dispersion.

The 12 most intense peaks (2θ from 10° to 80°), in order of rising 2θ:
2θ/deg	I/Imax	h k l
20.35	77	0 1 0
37.54	33	1 0 1
38.63	34	0 0 2
41.38	28	0 2 0
43.07	100	1 1 1
44.05	22	0 1 2
57.09	21	1 2 1
57.89	21	0 2 2
67.02	7	2 0 0
69.19	6	1 0 3
72.97	21	1 1 3
76.63	18	1 3 1

a = 2.793 Å, b = 4.364 Å, c = 4.661 Å
α = 90.00°, β = 90.00°, γ = 90.00°
Space group Pmmm (No. 47)
Symmetry-distinct sites (fractional):
Li  0.000  0.000  0.000 x1
Cu  0.500  0.000  0.500 x1
Pt  0.000  0.500  0.500 x1
Pt  0.500  0.500  0.000 x1